1.
# NaBr2O6
Theoretical PXRD pattern, Cu Kα, 1.54184 Å. Input: a crystal structure in Alexandria, relaxed with GGA-PBE.
Neutral-atom scattering factors, no anomalous dispersion.

```
NaBr2O6
1.0
5.047 -5.260 0.000
5.047 5.260 0.000
-2.562 0.000 6.585
Na Br O
2 4 12
direct
0.080 0.920 0.750
0.920 0.080 0.250
0.185 0.415 0.723
0.415 0.185 0.223
0.585 0.815 0.777
0.815 0.585 0.277
0.036 0.584 0.744
0.049 0.204 0.624
0.204 0.049 0.124
0.296 0.441 0.548
0.416 0.964 0.756
0.441 0.296 0.048
0.559 0.704 0.952
0.584 0.036 0.244
0.704 0.559 0.452
0.796 0.951 0.876
0.951 0.796 0.376
0.964 0.416 0.256
```

Largest 8 diffraction maxima, by angle, 5° ≤ 2θ ≤ 70°:
2θ (°)	I/Imax
15.78	70
18.87	53
21.62	100
25.35	41
27.08	40
28.79	22
29.73	25
32.00	40

***

2.
# Sc5FeOs
Theoretical PXRD pattern, Cu Kα, 1.54184 Å. Input: a crystal structure in Alexandria, relaxed with GGA-PBE.
Neutral-atom scattering factors, no anomalous dispersion.

```
Sc5FeOs
1.0
5.674 -3.653 0.000
5.674 3.653 0.000
-3.843 0.000 6.908
Sc Fe Os
10 2 2
direct
0.054 0.946 0.750
0.183 0.329 0.663
0.303 0.693 0.064
0.307 0.697 0.436
0.329 0.183 0.163
0.671 0.817 0.837
0.693 0.303 0.564
0.697 0.307 0.936
0.817 0.671 0.337
0.946 0.054 0.250
0.392 0.608 0.750
0.608 0.392 0.250
0.000 0.500 0.000
0.500 0.000 0.500
```

Largest 8 diffraction maxima, by angle, 5° ≤ 2θ ≤ 70°:
2θ (°)	I/Imax
16.74	100
22.50	84
26.54	51
35.78	70
36.23	79
37.62	83
38.79	71
45.22	48

***

3.
# Ac6SbRh3
Theoretical PXRD pattern, Cu Kα, 1.54184 Å. Input: a crystal structure in Alexandria, relaxed with GGA-PBE.
Neutral-atom scattering factors, no anomalous dispersion.

```
Ac6SbRh3
1.0
12.645 0.000 0.000
0.000 4.430 0.000
-3.990 0.000 12.207
Ac Sb Rh
12 2 6
direct
0.027 0.250 0.388
0.109 0.250 0.945
0.212 0.750 0.260
0.292 0.750 0.763
0.358 0.250 0.534
0.423 0.750 0.090
0.577 0.250 0.910
0.642 0.750 0.466
0.708 0.250 0.237
0.788 0.250 0.740
0.891 0.750 0.055
0.973 0.750 0.612
0.448 0.250 0.310
0.552 0.750 0.690
0.047 0.250 0.163
0.179 0.750 0.492
0.345 0.250 0.918
0.655 0.750 0.082
0.821 0.250 0.508
0.953 0.750 0.837
```

Largest 8 diffraction maxima, by angle, 5° ≤ 2θ ≤ 70°:
2θ (°)	I/Imax
24.58	34
27.29	96
28.37	100
28.75	33
30.08	48
37.21	32
40.74	58
50.38	42

***

4.
# AcSm12Ho2
Theoretical PXRD pattern, Cu Kα, 1.54184 Å. Input: a crystal structure in Alexandria, relaxed with GGA-PBE.
Neutral-atom scattering factors, no anomalous dispersion.

```
AcSm12Ho2
1.0
6.491 0.000 0.000
0.000 6.491 0.000
0.000 0.000 25.826
Ac Sm Ho
2 24 4
direct
0.250 0.750 0.000
0.750 0.250 0.000
0.069 0.569 0.123
0.069 0.931 0.877
0.082 0.582 0.561
0.082 0.918 0.439
0.250 0.250 0.222
0.250 0.250 0.341
0.250 0.250 0.659
0.250 0.250 0.778
0.418 0.582 0.439
0.418 0.918 0.561
0.431 0.569 0.877
0.431 0.931 0.123
0.569 0.069 0.877
0.569 0.431 0.123
0.582 0.082 0.439
0.582 0.418 0.561
0.750 0.750 0.222
0.750 0.750 0.341
0.750 0.750 0.659
0.750 0.750 0.778
0.918 0.082 0.561
0.918 0.418 0.439
0.931 0.069 0.123
0.931 0.431 0.877
0.250 0.750 0.278
0.250 0.750 0.722
0.750 0.250 0.278
0.750 0.250 0.722
```

Largest 8 diffraction maxima, by angle, 5° ≤ 2θ ≤ 70°:
2θ (°)	I/Imax
28.36	46
29.41	63
30.84	50
31.10	100
31.17	36
31.59	64
35.48	44
39.26	41

***

5.
# Ac2SmGa2Pt7
Theoretical PXRD pattern, Cu Kα, 1.54184 Å. Input: a crystal structure in Alexandria, relaxed with GGA-PBE.
Neutral-atom scattering factors, no anomalous dispersion.

```
Ac2SmGa2Pt7
1.0
3.000 -2.976 0.000
3.000 2.976 0.000
-1.831 0.000 14.177
Ac Sm Ga Pt
2 1 2 7
direct
0.096 0.096 0.355
0.904 0.904 0.645
0.000 0.000 0.000
0.426 0.426 0.754
0.574 0.574 0.246
0.045 0.545 0.150
0.398 0.398 0.578
0.455 0.955 0.850
0.500 0.500 0.000
0.545 0.045 0.150
0.602 0.602 0.422
0.955 0.455 0.850
```

Largest 8 diffraction maxima, by angle, 5° ≤ 2θ ≤ 70°:
2θ (°)	I/Imax
6.23	48
30.69	37
33.47	54
34.14	67
35.65	100
42.12	30
42.87	65
42.98	53

***

6.
# K6SeO
Theoretical PXRD pattern, Cu Kα, 1.54184 Å. Input: a crystal structure in Alexandria, relaxed with GGA-PBE.
Neutral-atom scattering factors, no anomalous dispersion.

```
K6SeO
1.0
6.631 3.828 2.747
-6.631 3.828 2.747
0.000 -7.656 2.747
K Se O
6 1 1
direct
0.023 0.291 0.291
0.291 0.023 0.291
0.291 0.291 0.023
0.709 0.709 0.977
0.709 0.977 0.709
0.977 0.709 0.709
0.500 0.500 0.500
0.000 0.000 0.000
```

Largest 8 diffraction maxima, by angle, 5° ≤ 2θ ≤ 70°:
2θ (°)	I/Imax
13.35	100
23.16	52
29.90	39
32.60	9
33.04	36
35.78	11
38.21	26
40.83	12

***

7.
# LuGaNi2
Theoretical PXRD pattern, Cu Kα, 1.54184 Å. Input: a crystal structure in Alexandria, relaxed with GGA-PBE.
Neutral-atom scattering factors, no anomalous dispersion.

```
LuGaNi2
1.0
3.181 0.000 0.000
0.000 3.181 0.000
0.000 0.000 6.011
Lu Ga Ni
1 1 2
direct
0.000 0.000 0.000
0.000 0.000 0.500
0.500 0.500 0.288
0.500 0.500 0.712
```

Largest 8 diffraction maxima, by angle, 5° ≤ 2θ ≤ 70°:
2θ (°)	I/Imax
14.74	11
28.05	14
29.73	8
31.83	26
40.08	59
41.33	100
57.98	19
62.03	8

***

8.
# LiPm2SbO5
Theoretical PXRD pattern, Cu Kα, 1.54184 Å. Input: a crystal structure in Alexandria, relaxed with GGA-PBE.
Neutral-atom scattering factors, no anomalous dispersion.

```
LiPm2SbO5
1.0
6.749 0.000 0.000
0.000 6.749 0.000
0.000 0.000 6.271
Li Pm Sb O
2 4 2 10
direct
0.000 0.000 0.000
0.500 0.500 0.000
0.177 0.323 0.500
0.323 0.823 0.500
0.677 0.177 0.500
0.823 0.677 0.500
0.000 0.500 0.000
0.500 0.000 0.000
0.000 0.000 0.500
0.143 0.643 0.260
0.143 0.643 0.740
0.357 0.143 0.260
0.357 0.143 0.740
0.500 0.500 0.500
0.643 0.857 0.260
0.643 0.857 0.740
0.857 0.357 0.260
0.857 0.357 0.740
```

Largest 8 diffraction maxima, by angle, 5° ≤ 2θ ≤ 70°:
2θ (°)	I/Imax
14.12	66
18.59	67
28.47	47
29.60	31
30.07	100
32.94	81
41.53	67
44.86	55